Diffraction record for Li4MgTl2Zn. The X-ray powder pattern is simulated, not measured: it uses a crystal structure in OQMD, relaxed with PBE and Cu Kα X-rays.
No peak broadening, texture or thermal motion is included.

Crystal structure
a = 4.637 Å, b = 4.637 Å, c = 6.813 Å
α = 90.00°, β = 90.00°, γ = 90.00°
Space group P-4m2 (No. 115)
Unique sites:
Li  0.000  0.000  0.000 x1
Li  0.000  0.500  0.225 x2
Li  0.500  0.500  0.500 x1
Mg  0.000  0.000  0.500 x1
Tl  0.000  0.500  0.760 x2
Zn  0.500  0.500  0.000 x1

The 8 most intense peaks (2θ from 10° to 90°), low angle first:
2θ (°)	Rel. int.
23.2	100
27.2	19
38.1	47
38.8	23
44.4	18
45.7	34
60.5	15
69.8	16


Diffraction record for LiMg3Zn2. The X-ray powder pattern is simulated, not measured: it uses a crystal structure in OQMD, relaxed with PBE and Cu Kα X-rays.
No peak broadening, texture or thermal motion is included.

Crystal structure
a = 5.2727 Å, b = 5.2727 Å, c = 4.6101 Å
α = 90.00°, β = 90.00°, γ = 120.00°
Space group P-62m (No. 189)
Unique sites:
Li  0.0000  0.0000  0.0000 x1
Mg  0.0000  0.6595  0.5000 x3
Zn  0.3333  0.6667  0.0000 x2

The 8 most intense peaks (2θ from 10° to 90°), low angle first:
2θ (°)	Rel. int.
19.4	34
27.5	26
34.0	30
39.1	21
39.4	100
52.8	17
60.9	16
74.7	17


Diffraction record for LiMg2Zn3. The X-ray powder pattern is simulated, not measured: it uses a crystal structure in OQMD, relaxed with PBE and Cu Kα X-rays.
No peak broadening, texture or thermal motion is included.

Crystal structure
a = 5.1290 Å, b = 5.1290 Å, c = 4.5060 Å
α = 90.00°, β = 90.00°, γ = 120.00°
Space group P-62m (No. 189)
Unique sites:
Li  0.0000  0.0000  0.0000 x1
Mg  0.3333  0.6667  0.0000 x2
Zn  0.0000  0.6864  0.5000 x3

The 8 most intense peaks (2θ from 10° to 90°), low angle first:
2θ (°)	Rel. int.
19.7	44
35.0	45
40.0	21
40.5	100
54.2	25
62.8	15
73.0	16
77.1	15